Starting from a PBE+U-relaxed structure, the XRD peak list of ZnFe2As2H2O10 was simulated for a wavelength of 1.5418 Å.

Crystal structure
```
ZnFe2As2H2O10
1.0
6.745 0.000 0.000
0.000 7.778 0.000
-6.517 0.000 7.490
Zn Fe As H O
2 4 4 4 20
Cartesian
0.000 0.000 0.000
-3.258 3.889 3.745
-1.659 1.053 5.529
1.599 2.836 1.784
-1.371 4.941 5.706
1.888 6.725 1.961
-4.916 4.854 6.500
-1.658 6.812 2.755
1.886 0.965 4.735
5.144 2.924 0.990
2.299 0.955 0.290
-0.959 2.934 4.035
1.188 4.843 3.454
-2.071 6.823 7.199
-3.458 4.799 5.581
-0.199 6.868 1.836
-1.766 0.444 3.705
-5.025 3.445 7.450
-3.599 1.048 5.899
-0.340 2.841 2.154
-1.680 5.375 3.709
-4.939 6.292 7.454
1.669 0.907 1.054
-1.589 2.982 4.799
1.817 4.795 2.690
-1.441 6.871 6.435
5.167 1.486 0.036
1.908 2.403 3.781
0.569 4.937 5.335
3.827 6.729 1.591
5.253 4.333 0.040
1.994 7.334 3.785
0.427 0.910 5.654
3.686 2.979 1.909
```

Most intense lines, 15 to 90 degrees two-theta, by angle:
2θ/deg	intensity
25.81	100.0
26.43	64.0
29.94	33.8
30.97	22.4
37.18	19.6
54.46	30.4